[1]
Diffraction record for LaNd2SmSe3O4. The powder X-ray diffraction pattern is theoretical, not measured: it uses a DFT-relaxed cell (PBE, OQMD) and Cu Ka.

The 12 most intense peaks (5 to 70 degrees two-theta), by angle:
2θ/deg, Rel. int.
25.19, 547
30.48, 1000
31.49, 535
35.02, 273
42.10, 151
45.15, 269
47.10, 233
52.41, 149
53.41, 159
58.40, 129
59.43, 142
63.45, 109

Atomic structure:
```
LaNd2SmSe3O4
1.0
8.4610 0.0000 0.0000
0.0000 2.0077 6.4389
0.0000 -2.0077 6.4389
La Nd Sm Se O
1 2 1 3 4
direct
0.0000 0.0000 0.0000 La
0.2648 0.6684 0.6684 Nd
0.7352 0.6684 0.6684 Nd
0.5000 0.9864 0.9864 Sm
0.1493 0.3372 0.3372 Se
0.5000 0.2998 0.2998 Se
0.8507 0.3372 0.3372 Se
0.0000 0.6018 0.6018 O
0.2597 0.0713 0.0713 O
0.5000 0.5710 0.5710 O
0.7403 0.0713 0.0713 O
```


[2]
Diffraction record for La2Nd2Te3O4. The powder X-ray diffraction pattern is theoretical, not measured: it uses a DFT-relaxed cell (PBE, OQMD) and Cu Ka.

The 12 most intense peaks (5 to 70 degrees two-theta), by angle:
2θ/deg, Rel. int.
23.97, 305
29.33, 1000
30.26, 500
33.01, 164
33.32, 367
37.95, 191
40.05, 130
40.56, 127
43.80, 209
50.84, 220
56.13, 166
56.56, 213

Atomic structure:
```
La2Nd2Te3O4
1.0
8.8905 0.0000 0.0000
0.0000 2.0667 6.7534
0.0000 -2.0667 6.7534
La Nd Te O
2 2 3 4
direct
0.0000 0.0000 0.0000 La
0.5000 0.0203 0.0203 La
0.2620 0.3510 0.3510 Nd
0.7380 0.3510 0.3510 Nd
0.1617 0.6672 0.6672 Te
0.5000 0.7235 0.7235 Te
0.8383 0.6672 0.6672 Te
0.0000 0.4090 0.4090 O
0.2555 0.9367 0.9367 O
0.5000 0.4411 0.4411 O
0.7445 0.9367 0.9367 O
```


[3]
Diffraction record for LaNd2Ta2P6. The powder X-ray diffraction pattern is theoretical, not measured: it uses a DFT-relaxed cell (PBE, OQMD) and Cu Ka.

The 12 most intense peaks (5 to 70 degrees two-theta), by angle:
2θ/deg, Rel. int.
15.34, 361
26.57, 810
26.93, 1000
33.06, 193
35.49, 159
37.93, 572
39.93, 311
47.14, 475
54.72, 196
56.25, 230
61.84, 156
62.04, 146

Atomic structure:
```
LaNd2Ta2P6
1.0
-2.3724 2.3724 11.5515
2.3724 -2.3724 11.5515
2.3724 2.3724 -11.5515
La Nd Ta P
1 2 2 6
direct
0.0000 0.0000 0.0000 La
0.1677 0.1677 0.0000 Nd
0.8323 0.8323 0.0000 Nd
0.3928 0.3928 0.0000 Ta
0.6072 0.6072 0.0000 Ta
0.0828 0.5828 0.5000 P
0.2928 0.2928 0.0000 P
0.4172 0.9172 0.5000 P
0.5828 0.0828 0.5000 P
0.7072 0.7072 0.0000 P
0.9172 0.4172 0.5000 P
```


[4]
Diffraction record for LaNd2Sn3Pb4. The powder X-ray diffraction pattern is theoretical, not measured: it uses a DFT-relaxed cell (PBE, OQMD) and Cu Ka.

The 12 most intense peaks (5 to 70 degrees two-theta), by angle:
2θ/deg, Rel. int.
6.79, 36
31.75, 1000
34.45, 182
37.57, 166
38.37, 157
51.89, 116
52.51, 112
54.79, 114
60.03, 132
64.18, 137
65.26, 131
66.34, 112

Atomic structure:
```
LaNd2Sn3Pb4
1.0
2.3462 -13.0163 0.0000
2.3462 13.0163 0.0000
0.0000 0.0000 4.7877
La Nd Sn Pb
1 2 3 4
direct
0.0000 0.0000 0.0000 La
0.1897 0.8103 0.0000 Nd
0.8103 0.1897 0.0000 Nd
0.2906 0.7094 0.5000 Sn
0.5000 0.5000 0.5000 Sn
0.7094 0.2906 0.5000 Sn
0.0983 0.9017 0.5000 Pb
0.4030 0.5970 0.0000 Pb
0.5970 0.4030 0.0000 Pb
0.9017 0.0983 0.5000 Pb
```


Please write out number 1 again, unchanged.
Diffraction record for LaNd2SmSe3O4. The powder X-ray diffraction pattern is theoretical, not measured: it uses a DFT-relaxed cell (PBE, OQMD) and Cu Ka.

The 12 most intense peaks (5 to 70 degrees two-theta), by angle:
2θ/deg, Rel. int.
25.19, 547
30.48, 1000
31.49, 535
35.02, 273
42.10, 151
45.15, 269
47.10, 233
52.41, 149
53.41, 159
58.40, 129
59.43, 142
63.45, 109

Atomic structure:
```
LaNd2SmSe3O4
1.0
8.4610 0.0000 0.0000
0.0000 2.0077 6.4389
0.0000 -2.0077 6.4389
La Nd Sm Se O
1 2 1 3 4
direct
0.0000 0.0000 0.0000 La
0.2648 0.6684 0.6684 Nd
0.7352 0.6684 0.6684 Nd
0.5000 0.9864 0.9864 Sm
0.1493 0.3372 0.3372 Se
0.5000 0.2998 0.2998 Se
0.8507 0.3372 0.3372 Se
0.0000 0.6018 0.6018 O
0.2597 0.0713 0.0713 O
0.5000 0.5710 0.5710 O
0.7403 0.0713 0.0713 O
```


What did the third record say?
Diffraction record for LaNd2Ta2P6. The powder X-ray diffraction pattern is theoretical, not measured: it uses a DFT-relaxed cell (PBE, OQMD) and Cu Ka.

The 12 most intense peaks (5 to 70 degrees two-theta), by angle:
2θ/deg, Rel. int.
15.34, 361
26.57, 810
26.93, 1000
33.06, 193
35.49, 159
37.93, 572
39.93, 311
47.14, 475
54.72, 196
56.25, 230
61.84, 156
62.04, 146

Atomic structure:
```
LaNd2Ta2P6
1.0
-2.3724 2.3724 11.5515
2.3724 -2.3724 11.5515
2.3724 2.3724 -11.5515
La Nd Ta P
1 2 2 6
direct
0.0000 0.0000 0.0000 La
0.1677 0.1677 0.0000 Nd
0.8323 0.8323 0.0000 Nd
0.3928 0.3928 0.0000 Ta
0.6072 0.6072 0.0000 Ta
0.0828 0.5828 0.5000 P
0.2928 0.2928 0.0000 P
0.4172 0.9172 0.5000 P
0.5828 0.0828 0.5000 P
0.7072 0.7072 0.0000 P
0.9172 0.4172 0.5000 P
```